(1)
Sm4In5S13: calculated powder XRD pattern (a wavelength of 1.5418 Å), based on a cell relaxed with GGA-PBE.

Main lines, sorted by position (10 to 90 degrees two-theta):
| (hkl) | 2θ/deg | d (Å) | intensity |
| --- | --- | --- | --- |
| 0 6 0 | 24.7 | 3.598 | 60 |
| 1 2 1 | 25.3 | 3.526 | 29 |
| 3 3 0 | 25.5 | 3.487 | 100 |
| 1 3 1 | 26.9 | 3.312 | 43 |
| 3 1 1 | 32.3 | 2.774 | 32 |
| 2 5 1 | 34.3 | 2.613 | 27 |
| 3 9 0 | 44.1 | 2.055 | 30 |
| 0 0 2 | 46.2 | 1.963 | 29 |

Cell and atoms:
```
Sm4In5S13
1.0
11.959 0.000 0.000
0.000 21.587 0.000
0.000 0.000 3.926
Sm In S
8 10 26
Direct
0.018 0.171 0.000
0.172 0.342 0.000
0.328 0.842 0.000
0.482 0.671 0.000
0.518 0.329 0.000
0.672 0.158 0.000
0.828 0.658 0.000
0.982 0.829 0.000
0.000 0.500 0.000
0.154 0.992 0.500
0.156 0.669 0.500
0.344 0.169 0.500
0.346 0.492 0.500
0.500 0.000 0.000
0.654 0.508 0.500
0.656 0.831 0.500
0.844 0.331 0.500
0.846 0.008 0.500
0.000 0.000 0.000
0.003 0.408 0.500
0.081 0.262 0.500
0.150 0.866 0.500
0.158 0.114 0.500
0.167 0.740 0.000
0.203 0.476 0.000
0.297 0.976 0.000
0.333 0.240 0.000
0.342 0.614 0.500
0.350 0.366 0.500
0.419 0.762 0.500
0.497 0.908 0.500
0.500 0.500 0.000
0.503 0.092 0.500
0.581 0.238 0.500
0.650 0.634 0.500
0.658 0.386 0.500
0.667 0.760 0.000
0.703 0.024 0.000
0.797 0.524 0.000
0.833 0.260 0.000
0.842 0.886 0.500
0.850 0.134 0.500
0.919 0.738 0.500
0.997 0.592 0.500
```

(2)
Cu4Ag: calculated powder XRD pattern (a wavelength of 1.5418 Å), based on a cell relaxed with GGA-PBE.

Main lines, sorted by position (10 to 90 degrees two-theta):
| (hkl) | 2θ/deg | d (Å) | intensity |
| --- | --- | --- | --- |
| 2 1 -1 | 41.8 | 2.160 | 100 |
| 1 1 2 | 41.9 | 2.154 | 100 |
| 1 0 -3 | 48.3 | 1.883 | 32 |
| 0 2 0 | 48.8 | 1.868 | 33 |
| 3 0 1 | 49.2 | 1.854 | 30 |
| 1 2 -3 | 71.1 | 1.326 | 18 |
| 3 2 1 | 71.7 | 1.316 | 18 |
| 1 3 2 | 86.4 | 1.126 | 22 |

Cell and atoms:
```
Cu4Ag
1.0
5.879 0.000 0.000
0.000 3.735 0.000
-0.077 0.000 5.938
Cu Ag
8 2
Direct
0.041 0.250 0.353
0.133 0.750 0.048
0.238 0.250 0.738
0.337 0.750 0.452
0.663 0.250 0.548
0.762 0.750 0.262
0.867 0.250 0.952
0.959 0.750 0.647
0.445 0.250 0.160
0.555 0.750 0.840
```

(3)
CuAg: calculated powder XRD pattern (a wavelength of 1.5418 Å), based on a cell relaxed with GGA-PBE.

Main lines, sorted by position (10 to 90 degrees two-theta):
| (hkl) | 2θ/deg | d (Å) | intensity |
| --- | --- | --- | --- |
| 0 1 3 | 34.3 | 2.616 | 36 |
| 1 0 3 | 38.4 | 2.344 | 26 |
| 0 1 4 | 39.5 | 2.279 | 74 |
| 1 1 0 | 41.3 | 2.188 | 100 |
| 1 0 4 | 43.2 | 2.092 | 57 |
| 0 2 0 | 53.9 | 1.700 | 22 |
| 1 2 4 | 71.5 | 1.320 | 23 |
| 2 1 4 | 79.1 | 1.211 | 17 |

Cell and atoms:
```
CuAg
1.0
2.858 0.000 0.000
0.000 3.401 0.000
0.000 0.000 12.286
Cu Ag
4 4
Direct
0.250 0.250 0.052
0.250 0.250 0.847
0.750 0.750 0.153
0.750 0.750 0.948
0.250 0.250 0.278
0.250 0.250 0.574
0.750 0.750 0.426
0.750 0.750 0.722
```

(4)
ZrTlPO: calculated powder XRD pattern (a wavelength of 1.5418 Å), based on a cell relaxed with GGA-PBE.

Main lines, sorted by position (10 to 90 degrees two-theta):
| (hkl) | 2θ/deg | d (Å) | intensity |
| --- | --- | --- | --- |
| 0 0 2 | 17.5 | 5.061 | 78 |
| 0 0 3 | 26.4 | 3.374 | 42 |
| 1 1 1 | 34.2 | 2.622 | 100 |
| 0 0 4 | 35.4 | 2.533 | 25 |
| 1 1 2 | 37.6 | 2.392 | 64 |
| 2 0 0 | 47.4 | 1.919 | 35 |
| 1 1 4 | 49.2 | 1.851 | 42 |
| 2 0 3 | 55.0 | 1.668 | 23 |

Cell and atoms:
```
ZrTlPO
1.0
3.838 0.000 0.000
0.000 3.838 0.000
0.000 0.000 10.123
Zr Tl P O
2 2 2 2
Direct
0.250 0.250 0.113
0.750 0.750 0.887
0.250 0.750 0.500
0.750 0.250 0.500
0.250 0.250 0.759
0.750 0.750 0.241
0.250 0.750 0.000
0.750 0.250 0.000
```